Theoretical powder XRD pattern of VAg2PdO4 for Cu Kα (λ = 1.5418 Å), from a crystal structure in Alexandria, relaxed with GGA+U.
No peak broadening, texture or thermal motion is included.

Structure:
Cell lengths 6.8081, 6.0853, 5.9148 Å; angles 90.00, 90.00, 90.00 degrees
Space group Pmn2_1 (No. 31)
Unique sites:
1 V 0.0000 0.1175 0.0000 (multiplicity 2)
2 Ag 0.2200 0.3551 0.4622 (multiplicity 4)
3 Pd 0.0000 0.7485 0.4080 (multiplicity 2)
4 O 0.0000 0.0959 0.3035 (multiplicity 2)
5 O 0.0000 0.8572 0.8853 (multiplicity 2)
6 O 0.2032 0.2712 0.9024 (multiplicity 4)

Main lines, low angle first (2θ from 10° to 90°):
index  d [Å]  2θ/deg  I (rel.)
1 0 1  4.465  19.9  23
2 1 0  2.971  30.1  35
0 0 2  2.957  30.2  73
0 2 1  2.706  33.1  41
2 1 1  2.655  33.8  100
0 2 2  2.119  42.7  36